# Y11Ge10
Computed PXRD pattern, Cu Kα, 1.54184 Å. Input: a GGA-PBE-relaxed structure.

The 8 most intense peaks (2θ from 15° to 90°), in order of falling intensity:
2θ 33.70, intensity 100.0; 2θ 32.69, intensity 86.5; 2θ 34.71, intensity 43.6; 2θ 36.68, intensity 37.3; 2θ 34.47, intensity 36.9; 2θ 44.47, intensity 19.0; 2θ 68.48, intensity 17.7; 2θ 49.91, intensity 16.7

Crystal structure
abc: 11.324 11.324 11.324
angles: 122.08 122.08 86.43
Positions (direct):
Y  0.058  0.310  0.748
Y  0.103  0.427  0.324
Y  0.103  0.779  0.676
Y  0.160  0.160  0.000
Y  0.221  0.897  0.324
Y  0.310  0.058  0.748
Y  0.310  0.562  0.252
Y  0.323  0.323  0.645
Y  0.323  0.677  0.000
Y  0.427  0.103  0.324
Y  0.438  0.690  0.748
Y  0.562  0.310  0.252
Y  0.573  0.897  0.676
Y  0.677  0.323  0.000
Y  0.677  0.677  0.355
Y  0.690  0.438  0.748
Y  0.690  0.942  0.252
Y  0.779  0.103  0.676
Y  0.840  0.840  0.000
Y  0.897  0.221  0.324
Y  0.897  0.573  0.676
Y  0.942  0.690  0.252
Ge  0.028  0.028  0.419
Ge  0.028  0.609  0.000
Ge  0.120  0.120  0.239
Ge  0.120  0.880  0.000
Ge  0.139  0.500  0.639
Ge  0.250  0.750  0.500
Ge  0.387  0.387  0.000
Ge  0.391  0.391  0.419
Ge  0.391  0.972  0.000
Ge  0.500  0.139  0.639
Ge  0.500  0.861  0.361
Ge  0.609  0.028  0.000
Ge  0.609  0.609  0.581
Ge  0.613  0.613  0.000
Ge  0.750  0.250  0.500
Ge  0.861  0.500  0.361
Ge  0.880  0.120  0.000
Ge  0.880  0.880  0.761
Ge  0.972  0.391  0.000
Ge  0.972  0.972  0.581